Entry 1:
Theoretical X-ray diffraction stick pattern
Compound: CaBi4O8
Radiation: CuKα
Structure: a crystal structure in the Materials Project, relaxed with PBE

Principal peaks in the range 10 to 90 degrees two-theta, by intensity:
Position (°2θ), Rel. int.
31.36, 100
17.75, 84
30.44, 83
27.71, 82
28.41, 69
32.01, 67
44.82, 51
32.12, 50
21.60, 50
10.58, 40

Structure:
Cell lengths 7.931, 7.931, 10.058 Å; angles 122.87, 122.87, 24.93 degrees
Element x y z (fractional)
Ca: 0.000 0.000 0.000
Bi: 0.034 0.034 0.698
Bi: 0.276 0.276 0.377
Bi: 0.561 0.561 0.369
Bi: 0.796 0.796 0.018
O: 0.162 0.162 0.497
O: 0.280 0.280 0.157
O: 0.377 0.377 0.966
O: 0.498 0.498 0.506
O: 0.526 0.526 0.845
O: 0.624 0.624 0.227
O: 0.868 0.868 0.549
O: 0.964 0.964 0.221


Entry 2:
Theoretical X-ray diffraction stick pattern
Compound: TiCuGe
Radiation: CuKα
Structure: a crystal structure in the Materials Project, relaxed with PBE

Principal peaks in the range 10 to 90 degrees two-theta, by intensity:
Position (°2θ), Rel. int.
43.77, 100
37.95, 73
41.97, 51
48.19, 33
40.29, 26
19.43, 22
26.10, 20
53.70, 20
43.35, 15
75.01, 14

Structure:
Cell lengths 3.777, 9.138, 5.136 Å; angles 90.00, 90.00, 90.00 degrees
Element x y z (fractional)
Ti: 0.000 0.200 0.250
Ti: 0.000 0.800 0.750
Ti: 0.500 0.300 0.750
Ti: 0.500 0.700 0.250
Cu: 0.000 0.500 0.000
Cu: 0.000 0.500 0.500
Cu: 0.500 0.000 0.000
Cu: 0.500 0.000 0.500
Ge: 0.000 0.107 0.750
Ge: 0.000 0.893 0.250
Ge: 0.500 0.393 0.250
Ge: 0.500 0.607 0.750